Entry 1:
Theoretical X-ray powder pattern
Compound: Y6NiS5
Radiation: Cu Kα (λ = 1.5418 Å)
Structure: a cell relaxed with GGA-PBE
Neutral-atom scattering factors, no anomalous dispersion.

Principal peaks in the range 2θ from 15° to 90°, in order of falling intensity:
d_spacing, 2θ/deg, I (rel.)
2.782, 32.17, 100
1.968, 46.12, 58
1.607, 57.32, 18
3.216, 27.74, 16
3.210, 27.80, 15
1.245, 76.54, 14
1.963, 46.25, 11
1.242, 76.71, 9
1.137, 85.37, 9
1.136, 85.49, 7

Atomic structure:
```
Y6NiS5
1.0
3.413 -5.906 0.000
3.413 5.906 0.000
-2.291 0.000 6.411
Y Ni S
6 1 5
direct
0.079 0.406 0.243 Y
0.244 0.244 0.754 Y
0.406 0.079 0.243 Y
0.594 0.921 0.757 Y
0.756 0.756 0.246 Y
0.921 0.594 0.757 Y
0.000 0.000 0.000 Ni
0.173 0.827 0.500 S
0.334 0.666 0.000 S
0.500 0.500 0.500 S
0.666 0.334 0.000 S
0.827 0.173 0.500 S
```



Entry 2:
Theoretical X-ray powder pattern
Compound: ZnNiS
Radiation: Cu Kα (λ = 1.5418 Å)
Structure: a cell relaxed with GGA-PBE
Neutral-atom scattering factors, no anomalous dispersion.

Principal peaks in the range 2θ from 15° to 90°, in order of falling intensity:
d_spacing, 2θ/deg, I (rel.)
2.887, 30.98, 100
2.580, 34.77, 56
1.896, 47.97, 53
1.989, 45.62, 52
2.186, 41.31, 49
2.407, 37.35, 47
5.248, 16.90, 42
2.478, 36.25, 36
1.774, 51.52, 31
1.466, 63.46, 28

Atomic structure:
```
ZnNiS
1.0
3.609 0.000 0.000
0.000 4.815 0.000
-0.313 0.000 5.248
Zn Ni S
2 2 2
direct
0.213 0.000 0.309 Zn
0.787 0.500 0.691 Zn
0.342 0.615 0.016 Ni
0.658 0.115 0.984 Ni
0.169 0.950 0.752 S
0.831 0.450 0.248 S
```



Entry 3:
Theoretical X-ray powder pattern
Compound: Ni3Sb
Radiation: Cu Kα (λ = 1.5418 Å)
Structure: a cell relaxed with GGA-PBE
Neutral-atom scattering factors, no anomalous dispersion.

Principal peaks in the range 2θ from 15° to 90°, in order of falling intensity:
d_spacing, 2θ/deg, I (rel.)
2.154, 41.94, 100
1.866, 48.81, 47
1.125, 86.51, 34
1.319, 71.51, 28
3.731, 23.85, 10
2.639, 33.98, 8
1.669, 55.03, 4
1.523, 60.80, 3
1.244, 76.60, 2
1.180, 81.59, 2

Atomic structure:
```
Ni3Sb
1.0
3.731 0.000 0.000
0.000 3.731 0.000
0.000 0.000 3.731
Ni Sb
3 1
direct
0.000 0.000 0.500 Ni
0.000 0.500 0.000 Ni
0.500 0.000 0.000 Ni
0.500 0.500 0.500 Sb
```